Diffraction record for NaTaO3. The powder diffractogram is calculated, not measured: it uses the GGA-PBE geometry in the Materials Project and Cu Kα, 1.54184 Å.

Largest 10 diffraction maxima, sorted by position, 2θ = 5–70°:
| 2theta | I_rel |
| --- | --- |
| 22.6 | 100 |
| 32.1 | 17 |
| 32.2 | 67 |
| 32.4 | 16 |
| 46.2 | 30 |
| 51.8 | 8 |
| 52.0 | 29 |
| 57.2 | 21 |
| 57.6 | 15 |
| 67.4 | 12 |

a b c (Å): 5.584 7.870 5.530
angles (deg): 90.00 90.00 90.00
Fractional coordinates of all 20 atoms:
1 Na 0.020 0.250 0.003
2 Na 0.480 0.750 0.503
3 Na 0.520 0.250 0.497
4 Na 0.980 0.750 0.997
5 Ta 0.000 0.000 0.500
6 Ta 0.000 0.500 0.500
7 Ta 0.500 0.000 0.000
8 Ta 0.500 0.500 0.000
9 O 0.011 0.750 0.438
10 O 0.215 0.531 0.785
11 O 0.215 0.969 0.785
12 O 0.285 0.031 0.285
13 O 0.285 0.469 0.285
14 O 0.489 0.250 0.938
15 O 0.511 0.750 0.062
16 O 0.715 0.531 0.715
17 O 0.715 0.969 0.715
18 O 0.785 0.031 0.215
19 O 0.785 0.469 0.215
20 O 0.989 0.250 0.562